For Cs6Rb2H, a DFT-relaxed cell (GGA-PBE, Alexandria) gives the calculated X-ray diffraction stick pattern in this record (Cu Kα (weighted mean of Kα1 and Kα2)).
Neutral-atom scattering factors, no anomalous dispersion.

Atomic structure:
Lattice parameters (Å, degrees): 10.6745 11.9907 16.1611 90.00 131.10 90.00
Space group P2_1/c (No. 14)
One atom of each set of equivalent atoms:
Cs 0.2303 0.1989 0.9998 x4
Cs 0.2311 0.7000 0.5003 x4
Cs 0.2686 0.0002 0.2693 x4
Rb 0.2131 0.0004 0.7128 x4
H 0.0000 0.0000 0.0000 x2

Most intense lines, 15° ≤ 2θ ≤ 90°, by angle:
2θ = 20.79°, I 95; 2θ = 22.15°, I 100; 2θ = 22.30°, I 84; 2θ = 23.43°, I 26; 2θ = 29.34°, I 22; 2θ = 35.73°, I 27



For LiTl2In5, a DFT-relaxed cell (GGA-PBE, Alexandria) gives the calculated X-ray diffraction stick pattern in this record (Cu Kα (weighted mean of Kα1 and Kα2)).
Neutral-atom scattering factors, no anomalous dispersion.

Atomic structure:
Lattice parameters (Å, degrees): 4.6223 4.6223 19.7973 90.00 90.00 90.00
Space group I4/mmm (No. 139)
One atom of each set of equivalent atoms:
Li 0.0000 0.0000 0.0000 x2
Tl 0.0000 0.0000 0.2503 x4
In 0.0000 0.0000 0.5000 x2
In 0.0000 0.5000 0.1137 x8

Most intense lines, 15° ≤ 2θ ≤ 90°, by angle:
2θ = 28.76°, I 17; 2θ = 32.84°, I 100; 2θ = 36.30°, I 17; 2θ = 38.97°, I 33; 2θ = 54.31°, I 21; 2θ = 66.73°, I 25



For CdPd2Pt6, a DFT-relaxed cell (GGA-PBE, Alexandria) gives the calculated X-ray diffraction stick pattern in this record (Cu Kα (weighted mean of Kα1 and Kα2)).
Neutral-atom scattering factors, no anomalous dispersion.

Atomic structure:
Lattice parameters (Å, degrees): 8.4796 8.4796 3.9854 90.00 90.00 90.00
Space group P4_2/mnm (No. 136)
One atom of each set of equivalent atoms:
Cd 0.0000 0.0000 0.0000 x2
Pd 0.1626 0.1626 0.5000 x4
Pt 0.0067 0.6649 0.0000 x8
Pt 0.1732 0.8268 0.5000 x4

Most intense lines, 15° ≤ 2θ ≤ 90°, by angle:
2θ = 39.07°, I 100; 2θ = 45.38°, I 33; 2θ = 45.52°, I 16; 2θ = 66.23°, I 21; 2θ = 79.56°, I 25; 2θ = 79.76°, I 13